Entry 1:
Structure and calculated PXRD pattern of GeBi4 (a crystal structure in Alexandria, relaxed with GGA-PBE; a wavelength of 1.5418 Å).
Peak positions follow from Bragg's law for the DFT cell and can differ from measured ones.

Structure:
a b c (Å): 5.5356 5.5356 5.5356
angles (deg): 90.00 90.00 90.00
Space group Pm-3m (No. 221)
Symmetry-distinct sites (fractional):
Ge 0.0000 0.0000 0.0000
Bi 0.0000 0.0000 0.5000
Bi 0.5000 0.5000 0.5000

Largest 6 diffraction maxima, most intense first, 2θ = 10–80°:
2theta  d/Å  I (rel.)
27.92  3.196  100
32.34  2.768  75
46.39  1.957  56
55.02  1.669  48
77.04  1.238  26
74.75  1.270  20

Entry 2:
Structure and calculated PXRD pattern of BeCuSi (a crystal structure in Alexandria, relaxed with GGA-PBE; a wavelength of 1.5418 Å).
Peak positions follow from Bragg's law for the DFT cell and can differ from measured ones.

Structure:
a b c (Å): 4.8408 6.2593 2.9651
angles (deg): 90.00 126.52 90.00
Space group C2 (No. 5)
Symmetry-distinct sites (fractional):
Be 0.0000 0.0000 0.0000
Cu 0.0000 0.6952 0.5000
Si 0.0000 0.2983 0.5000

Largest 6 diffraction maxima, most intense first, 2θ = 10–80°:
2theta  d/Å  I (rel.)
28.52  3.130  100
26.99  3.304  81
37.75  2.383  68
33.45  2.679  66
38.58  2.334  64
47.99  1.896  60

Entry 3:
Structure and calculated PXRD pattern of Ac2HgBi4 (a crystal structure in Alexandria, relaxed with GGA-PBE; a wavelength of 1.5418 Å).
Peak positions follow from Bragg's law for the DFT cell and can differ from measured ones.

Structure:
a b c (Å): 9.7790 9.8085 10.3571
angles (deg): 90.00 90.00 90.00
Space group Fmmm (No. 69)
Symmetry-distinct sites (fractional):
Ac 0.2500 0.2500 0.0000
Hg 0.0000 0.0000 0.0000
Bi 0.0000 0.2500 0.2500
Bi 0.2500 0.0000 0.2500

Largest 6 diffraction maxima, most intense first, 2θ = 10–80°:
2theta  d/Å  I (rel.)
31.07  2.878  100
51.36  1.779  25
34.64  2.589  19
59.87  1.545  16
36.65  2.452  16
36.76  2.445  16

Entry 4:
Structure and calculated PXRD pattern of Ac5Tm2Sn4 (a crystal structure in Alexandria, relaxed with GGA-PBE; a wavelength of 1.5418 Å).
Peak positions follow from Bragg's law for the DFT cell and can differ from measured ones.

Structure:
a b c (Å): 23.4202 4.6629 8.1436
angles (deg): 90.00 110.26 90.00
Space group C2/m (No. 12)
Symmetry-distinct sites (fractional):
Ac 0.0000 0.0000 0.0000
Ac 0.1613 0.5000 0.3927
Ac 0.1608 0.5000 0.9309
Tm 0.0725 0.0000 0.5735
Sn 0.0004 0.5000 0.3080
Sn 0.2102 0.0000 0.7110

Largest 6 diffraction maxima, most intense first, 2θ = 10–80°:
2theta  d/Å  I (rel.)
29.40  3.038  100
22.61  3.933  36
34.44  2.604  33
32.89  2.723  32
38.62  2.331  31
24.31  3.662  27

Entry 5:
Structure and calculated PXRD pattern of KB11H13C2NO (a crystal structure in Alexandria, relaxed with GGA-PBE; a wavelength of 1.5418 Å).
Peak positions follow from Bragg's law for the DFT cell and can differ from measured ones.

Structure:
a b c (Å): 10.9507 9.6543 11.8975
angles (deg): 90.00 99.70 90.00
Space group C2/m (No. 12)
Symmetry-distinct sites (fractional):
K 0.2447 0.0000 0.3384
B 0.0664 0.5000 0.2394
B 0.1220 0.0000 0.6985
B 0.1466 0.5000 0.3827
B 0.1507 0.3507 0.2962
B 0.1576 0.4074 0.1557
B 0.2062 0.1496 0.7535
B 0.2121 0.0925 0.6134
H 0.0120 0.0000 0.6892
H 0.0414 0.0000 0.9060
H 0.0443 0.5000 0.7854
H 0.0906 0.5000 0.4612
H 0.0989 0.2451 0.3121
H 0.1220 0.3460 0.0694
H 0.1506 0.2468 0.7808
H 0.1631 0.1583 0.5329
H 0.2078 0.5000 0.9487
C 0.1899 0.0000 0.0359
C 0.2067 0.0000 0.8330
N 0.1377 0.0000 0.9256
O 0.1302 0.0000 0.1170

Largest 6 diffraction maxima, most intense first, 2θ = 10–80°:
2theta  d/Å  I (rel.)
18.38  4.827  100
16.42  5.397  87
15.13  5.855  77
29.59  3.019  21
24.74  3.599  20
37.43  2.402  16

Entry 6:
Structure and calculated PXRD pattern of HfZrAu2 (a crystal structure in Alexandria, relaxed with GGA-PBE; a wavelength of 1.5418 Å).
Peak positions follow from Bragg's law for the DFT cell and can differ from measured ones.

Structure:
a b c (Å): 6.8374 6.8374 6.8374
angles (deg): 90.00 90.00 90.00
Space group Fm-3m (No. 225)
Symmetry-distinct sites (fractional):
Hf 0.0000 0.0000 0.0000
Zr 0.0000 0.0000 0.5000
Au 0.2500 0.2500 0.2500

Largest 6 diffraction maxima, most intense first, 2θ = 10–80°:
2theta  d/Å  I (rel.)
37.19  2.417  100
67.06  1.396  36
53.62  1.709  18
79.26  1.209  11
26.06  3.419  4
22.52  3.948  3

Entry 7:
Structure and calculated PXRD pattern of TlFeCl5 (a crystal structure in Alexandria, relaxed with GGA-PBE; a wavelength of 1.5418 Å).
Peak positions follow from Bragg's law for the DFT cell and can differ from measured ones.

Structure:
a b c (Å): 7.2535 7.8445 9.9685
angles (deg): 107.00 108.98 98.45
Space group P-1 (No. 2)
Symmetry-distinct sites (fractional):
Tl 0.0000 0.0000 0.0000
Tl 0.0000 0.5000 0.5000
Fe 0.4490 0.1580 0.7779
Cl 0.1313 0.2300 0.2529
Cl 0.2112 0.7610 0.1153
Cl 0.3334 0.8803 0.6031
Cl 0.3452 0.1844 0.9689
Cl 0.3663 0.3644 0.6789

Largest 6 diffraction maxima, most intense first, 2θ = 10–80°:
2theta  d/Å  I (rel.)
19.44  4.567  100
18.98  4.675  97
18.52  4.791  87
18.03  4.919  85
12.72  6.959  68
28.40  3.142  48

Entry 8:
Structure and calculated PXRD pattern of NbAlRhICl (a crystal structure in Alexandria, relaxed with GGA-PBE; a wavelength of 1.5418 Å).
Peak positions follow from Bragg's law for the DFT cell and can differ from measured ones.

Structure:
a b c (Å): 3.1737 3.2790 10.3532
angles (deg): 90.00 98.70 90.00
Space group Pm (No. 6)
Symmetry-distinct sites (fractional):
Nb 0.0000 0.0000 0.0000
Al 0.1492 0.0000 0.3027
Rh 0.5844 0.5000 0.1710
I 0.4157 0.5000 0.8290
Cl 0.7353 0.0000 0.4770

Largest 6 diffraction maxima, most intense first, 2θ = 10–80°:
2theta  d/Å  I (rel.)
39.77  2.266  100
35.80  2.508  62
38.06  2.364  60
32.43  2.761  51
42.01  2.150  48
44.94  2.017  19

Entry 9:
Structure and calculated PXRD pattern of Rb2AlSnS4 (a crystal structure in Alexandria, relaxed with GGA-PBE; a wavelength of 1.5418 Å).
Peak positions follow from Bragg's law for the DFT cell and can differ from measured ones.

Structure:
a b c (Å): 6.3940 14.3470 23.0390
angles (deg): 90.00 90.00 90.00
Space group Fddd (No. 70, origin choice 2)
Symmetry-distinct sites (fractional):
Rb 0.1250 0.1250 0.3053
Al 0.1250 0.1250 0.1250
Sn 0.1250 0.1250 0.6250
S 0.0871 0.2808 0.4285

Largest 6 diffraction maxima, most intense first, 2θ = 10–80°:
2theta  d/Å  I (rel.)
26.00  3.427  100
26.33  3.385  52
19.09  4.649  47
30.62  2.920  36
36.57  2.457  35
44.62  2.031  30

Entry 10:
Structure and calculated PXRD pattern of Mn2HgSb (a crystal structure in Alexandria, relaxed with GGA-PBE; a wavelength of 1.5418 Å).
Peak positions follow from Bragg's law for the DFT cell and can differ from measured ones.

Structure:
a b c (Å): 3.6075 3.6075 22.3351
angles (deg): 90.00 90.00 120.00
Space group R-3m (No. 166, hexagonal axes)
Symmetry-distinct sites (fractional):
Mn 0.0000 0.0000 0.2476
Hg 0.0000 0.0000 0.0000
Sb 0.0000 0.0000 0.5000

Largest 6 diffraction maxima, most intense first, 2θ = 10–80°:
2theta  d/Å  I (rel.)
32.85  2.726  100
43.47  2.082  46
29.69  3.009  30
50.60  1.804  29
73.05  1.295  19
61.65  1.504  17

Entry 11:
Structure and calculated PXRD pattern of Th2UCo3Ni12 (a crystal structure in Alexandria, relaxed with GGA-PBE; a wavelength of 1.5418 Å).
Peak positions follow from Bragg's law for the DFT cell and can differ from measured ones.

Structure:
a b c (Å): 7.6618 7.6618 17.3008
angles (deg): 90.00 90.00 120.00
Space group R-3m (No. 166, hexagonal axes)
Symmetry-distinct sites (fractional):
Th 0.0000 0.0000 0.1048
U 0.0000 0.0000 0.5000
Co 0.0000 0.5000 0.0000
Ni 0.0178 0.5089 0.8685
Ni 0.0229 0.5115 0.3755

Largest 6 diffraction maxima, most intense first, 2θ = 10–80°:
2theta  d/Å  I (rel.)
47.47  1.915  100
29.11  3.068  85
27.96  3.191  68
50.37  1.812  63
34.06  2.632  55
44.62  2.031  53

Please write out number 8 again, unchanged.
Structure and calculated PXRD pattern of NbAlRhICl (a crystal structure in Alexandria, relaxed with GGA-PBE; a wavelength of 1.5418 Å).
Peak positions follow from Bragg's law for the DFT cell and can differ from measured ones.

Structure:
a b c (Å): 3.1737 3.2790 10.3532
angles (deg): 90.00 98.70 90.00
Space group Pm (No. 6)
Symmetry-distinct sites (fractional):
Nb 0.0000 0.0000 0.0000
Al 0.1492 0.0000 0.3027
Rh 0.5844 0.5000 0.1710
I 0.4157 0.5000 0.8290
Cl 0.7353 0.0000 0.4770

Largest 6 diffraction maxima, most intense first, 2θ = 10–80°:
2theta  d/Å  I (rel.)
39.77  2.266  100
35.80  2.508  62
38.06  2.364  60
32.43  2.761  51
42.01  2.150  48
44.94  2.017  19